This entry pairs a crystal structure of Sm3MgTi4O14 with its simulated powder XRD pattern. Radiation: λ = 1.5418 Å (Cu Kα). Structure: a DFT-relaxed cell (GGA-PBE, the Materials Project).

Most intense lines, 10° ≤ 2θ ≤ 80°, in order of rising 2θ:
- 15.27 deg, I = 33.0
- 28.72 deg, I = 20.8
- 30.09 deg, I = 100.0
- 30.81 deg, I = 30.5
- 35.10 deg, I = 33.7
- 38.47 deg, I = 20.4
- 50.01 deg, I = 32.8
- 50.95 deg, I = 31.1
- 59.47 deg, I = 14.1
- 59.90 deg, I = 25.7

Structural model:
Cell: 7.1715 7.1715 7.1715 Å, 61.15 61.15 61.15°
Sites, in units of the cell vectors:
Sm  0.0000  0.5000  0.5000
Sm  0.5000  0.0000  0.5000
Sm  0.5000  0.5000  0.0000
Mg  0.5000  0.5000  0.5000
Ti  0.0000  0.0000  0.0000
Ti  0.0000  0.0000  0.5000
Ti  0.0000  0.5000  0.0000
Ti  0.5000  0.0000  0.0000
O  0.0694  0.6780  0.6780
O  0.0795  0.0795  0.6725
O  0.0795  0.6725  0.0795
O  0.3220  0.3220  0.9306
O  0.3220  0.9306  0.3220
O  0.3275  0.9205  0.9205
O  0.3857  0.3857  0.3857
O  0.6143  0.6143  0.6143
O  0.6725  0.0795  0.0795
O  0.6780  0.0694  0.6780
O  0.6780  0.6780  0.0694
O  0.9205  0.3275  0.9205
O  0.9205  0.9205  0.3275
O  0.9306  0.3220  0.3220